This entry pairs a crystal structure of Ho2Mo2C3 with its calculated powder diffraction line list. Radiation: Cu Kα. Structure: DFT lattice parameters and positions (GGA-PBE).

Peak list (6 most intense, 10° ≤ 2θ ≤ 90°, in order of rising 2θ)
2theta, I_rel
30.9, 27
31.6, 39
33.0, 43
34.4, 100
36.2, 92
43.4, 37

Structure:
Lattice parameters (Å, degrees): 11.7130 3.3394 5.7068 90.00 112.21 90.00
Space group C2/m (No. 12)
Symmetry-distinct sites (fractional):
Ho 0.1103 0.0000 0.3253
Mo 0.1571 0.5000 0.8259
C 0.0000 0.5000 0.5000
C 0.2479 0.5000 0.2343

=====

This entry pairs a crystal structure of Ho8CN3 with its calculated powder diffraction line list. Radiation: Cu Kα. Structure: DFT lattice parameters and positions (GGA-PBE).

Peak list (6 most intense, 10° ≤ 2θ ≤ 90°, in order of rising 2θ)
2theta, I_rel
30.3, 33
31.2, 100
35.9, 79
51.1, 26
52.2, 28
61.6, 27

Structure:
Lattice parameters (Å, degrees): 12.1415 7.0014 7.1566 90.00 124.48 90.00
Space group C2/m (No. 12)
Symmetry-distinct sites (fractional):
Ho 0.0076 0.2487 0.2719
Ho 0.2418 0.0000 0.7248
Ho 0.2436 0.5000 0.7281
C 0.0000 0.5000 0.5000
N 0.0000 0.0000 0.5000
N 0.2500 0.2500 0.5000